Entry 1:
This entry pairs a crystal structure of V5SnP6O24 with its theoretical X-ray powder pattern. Radiation: CuKα. Structure: a GGA+U-relaxed structure.
Neutral-atom scattering factors, no anomalous dispersion.

a = 8.6609 Å, b = 8.6609 Å, c = 8.6609 Å
α = 60.36°, β = 60.36°, γ = 60.36°
Fractional coordinates of all 36 atoms:
V1 0.0000 0.0000 0.0000
V2 0.1414 0.1414 0.1414
V3 0.3531 0.3531 0.3531
V4 0.4974 0.4974 0.4974
V5 0.6399 0.6399 0.6399
Sn1 0.8531 0.8531 0.8531
P1 0.0434 0.4497 0.7453
P2 0.2507 0.9543 0.5380
P3 0.4497 0.7453 0.0434
P4 0.5380 0.2507 0.9543
P5 0.7453 0.0434 0.4497
P6 0.9543 0.5380 0.2507
O1 0.0143 0.6037 0.8087
O2 0.0592 0.2559 0.9079
O3 0.0888 0.9409 0.7373
O4 0.1094 0.5003 0.3145
O5 0.1837 0.9923 0.3856
O6 0.2392 0.4331 0.5857
O7 0.2559 0.9079 0.0592
O8 0.3145 0.1094 0.5003
O9 0.3856 0.1837 0.9923
O10 0.4078 0.7570 0.5576
O11 0.4331 0.5857 0.2392
O12 0.4937 0.6858 0.8845
O13 0.5003 0.3145 0.1094
O14 0.5576 0.4078 0.7570
O15 0.5857 0.2392 0.4331
O16 0.6037 0.8087 0.0143
O17 0.6858 0.8845 0.4937
O18 0.7373 0.0888 0.9409
O19 0.7570 0.5576 0.4078
O20 0.8087 0.0143 0.6037
O21 0.8845 0.4937 0.6858
O22 0.9079 0.0592 0.2559
O23 0.9409 0.7373 0.0888
O24 0.9923 0.3856 0.1837

Most intense lines, 10° ≤ 2θ ≤ 90°, sorted by position:
20.40 deg, d = 4.354 Å, rel. 86; 20.51 deg, d = 4.330 Å, rel. 23; 24.02 deg, d = 3.705 Å, rel. 100; 31.68 deg, d = 2.825 Å, rel. 17; 32.68 deg, d = 2.740 Å, rel. 69; 35.73 deg, d = 2.513 Å, rel. 48; 46.86 deg, d = 1.939 Å, rel. 30; 49.19 deg, d = 1.852 Å, rel. 27; 55.88 deg, d = 1.645 Å, rel. 29; 62.26 deg, d = 1.491 Å, rel. 20

Entry 2:
This entry pairs a crystal structure of Li2V3WO8 with its theoretical X-ray powder pattern. Radiation: CuKα. Structure: a GGA+U-relaxed structure.
Neutral-atom scattering factors, no anomalous dispersion.

a = 6.0361 Å, b = 6.0428 Å, c = 10.5589 Å
α = 74.72°, β = 74.63°, γ = 60.87°
Fractional coordinates of all 28 atoms:
Li1 0.0670 0.0667 0.3061
Li2 0.4312 0.4325 0.1940
Li3 0.5688 0.5675 0.8060
Li4 0.9330 0.9333 0.6939
V1 0.0000 0.0000 0.0000
V2 0.0000 0.5000 0.0000
V3 0.0000 0.5000 0.5000
V4 0.5000 0.0000 0.0000
V5 0.5000 0.0000 0.5000
V6 0.5000 0.5000 0.5000
W1 0.2536 0.2501 0.7495
W2 0.7464 0.7499 0.2505
O1 0.0912 0.6457 0.1226
O2 0.1374 0.1379 0.1006
O3 0.1406 0.1424 0.6278
O4 0.1468 0.5945 0.6214
O5 0.3552 0.9080 0.8772
O6 0.3605 0.3601 0.8720
O7 0.3633 0.3634 0.3992
O8 0.4035 0.8608 0.3770
O9 0.5965 0.1392 0.6230
O10 0.6367 0.6366 0.6008
O11 0.6395 0.6399 0.1280
O12 0.6448 0.0920 0.1228
O13 0.8532 0.4055 0.3786
O14 0.8594 0.8576 0.3722
O15 0.8626 0.8621 0.8994
O16 0.9088 0.3543 0.8774

Most intense lines, 10° ≤ 2θ ≤ 90°, sorted by position:
17.89 deg, d = 4.959 Å, rel. 100; 20.43 deg, d = 4.346 Å, rel. 13; 34.07 deg, d = 2.631 Å, rel. 13; 34.33 deg, d = 2.612 Å, rel. 23; 34.98 deg, d = 2.565 Å, rel. 11; 36.23 deg, d = 2.480 Å, rel. 12; 41.56 deg, d = 2.173 Å, rel. 25; 42.68 deg, d = 2.119 Å, rel. 12; 45.72 deg, d = 1.984 Å, rel. 8; 60.74 deg, d = 1.525 Å, rel. 8

Entry 3:
This entry pairs a crystal structure of Sr2FeCoO6 with its theoretical X-ray powder pattern. Radiation: CuKα. Structure: a GGA+U-relaxed structure.
Neutral-atom scattering factors, no anomalous dispersion.

a = 3.8646 Å, b = 3.8646 Å, c = 7.8722 Å
α = 90.00°, β = 90.00°, γ = 90.00°
Fractional coordinates of all 10 atoms:
Sr1 0.0000 0.0000 0.2467
Sr2 0.0000 0.0000 0.7533
Fe1 0.5000 0.5000 0.5000
Co1 0.5000 0.5000 0.0000
O1 0.0000 0.5000 0.0000
O2 0.0000 0.5000 0.5000
O3 0.5000 0.0000 0.0000
O4 0.5000 0.0000 0.5000
O5 0.5000 0.5000 0.2505
O6 0.5000 0.5000 0.7495

Most intense lines, 10° ≤ 2θ ≤ 90°, sorted by position:
32.47 deg, d = 2.758 Å, rel. 100; 32.77 deg, d = 2.733 Å, rel. 49; 40.17 deg, d = 2.245 Å, rel. 18; 46.12 deg, d = 1.968 Å, rel. 20; 47.03 deg, d = 1.932 Å, rel. 37; 57.73 deg, d = 1.597 Å, rel. 19; 58.31 deg, d = 1.582 Å, rel. 37; 67.99 deg, d = 1.379 Å, rel. 22; 68.70 deg, d = 1.366 Å, rel. 11; 86.77 deg, d = 1.122 Å, rel. 11

Entry 4:
This entry pairs a crystal structure of Ca4TiMn3O11 with its theoretical X-ray powder pattern. Radiation: CuKα. Structure: a GGA+U-relaxed structure.
Neutral-atom scattering factors, no anomalous dispersion.

a = 7.7325 Å, b = 7.7561 Å, c = 7.6471 Å
α = 90.00°, β = 90.00°, γ = 90.00°
Fractional coordinates of all 38 atoms:
Ca1 0.2399 0.2504 0.0000
Ca2 0.2399 0.7496 0.0000
Ca3 0.2461 0.2465 0.4737
Ca4 0.2461 0.7535 0.4737
Ca5 0.7539 0.2465 0.4737
Ca6 0.7539 0.7535 0.4737
Ca7 0.7601 0.2504 0.0000
Ca8 0.7601 0.7496 0.0000
Ti1 0.5000 0.0000 0.7327
Ti2 0.5000 0.5000 0.7049
Mn1 0.0000 0.0000 0.2238
Mn2 0.0000 0.0000 0.7096
Mn3 0.0000 0.5000 0.2169
Mn4 0.0000 0.5000 0.7221
Mn5 0.5000 0.0000 0.2237
Mn6 0.5000 0.5000 0.2227
O1 0.0000 0.0000 0.4659
O2 0.0000 0.0000 0.9653
O3 0.0000 0.2533 0.2264
O4 0.0000 0.2571 0.6862
O5 0.0000 0.5000 0.9683
O6 0.0000 0.7429 0.6862
O7 0.0000 0.7467 0.2264
O8 0.2438 0.5000 0.2371
O9 0.2456 0.5000 0.6939
O10 0.2518 0.0000 0.2307
O11 0.2526 0.0000 0.6934
O12 0.5000 0.0000 0.9625
O13 0.5000 0.2412 0.6764
O14 0.5000 0.2466 0.2317
O15 0.5000 0.5000 0.4634
O16 0.5000 0.5000 0.9644
O17 0.5000 0.7534 0.2317
O18 0.5000 0.7588 0.6764
O19 0.7474 0.0000 0.6934
O20 0.7482 0.0000 0.2307
O21 0.7544 0.5000 0.6939
O22 0.7562 0.5000 0.2371

Most intense lines, 10° ≤ 2θ ≤ 90°, sorted by position:
22.97 deg, d = 3.872 Å, rel. 12; 23.26 deg, d = 3.824 Å, rel. 12; 32.71 deg, d = 2.738 Å, rel. 42; 32.92 deg, d = 2.721 Å, rel. 100; 46.85 deg, d = 1.939 Å, rel. 24; 47.01 deg, d = 1.933 Å, rel. 24; 47.56 deg, d = 1.912 Å, rel. 19; 58.51 deg, d = 1.577 Å, rel. 34; 58.92 deg, d = 1.567 Å, rel. 15; 68.54 deg, d = 1.369 Å, rel. 13

Entry 5:
This entry pairs a crystal structure of V3P2O8 with its theoretical X-ray powder pattern. Radiation: CuKα. Structure: a GGA+U-relaxed structure.
Neutral-atom scattering factors, no anomalous dispersion.

a = 5.3191 Å, b = 7.8385 Å, c = 8.5366 Å
α = 90.29°, β = 90.06°, γ = 91.03°
Fractional coordinates of all 26 atoms:
V1 0.0000 0.0000 0.0000
V2 0.1085 0.1133 0.3558
V3 0.2181 0.2279 0.7116
V4 0.5011 0.4997 0.2137
V5 0.6099 0.6137 0.8548
V6 0.7174 0.7273 0.4992
P1 0.0728 0.4140 0.0526
P2 0.1458 0.8138 0.6591
P3 0.5723 0.9140 0.1593
P4 0.6461 0.3127 0.5524
O1 0.0661 0.2590 0.9385
O2 0.0667 0.8728 0.4911
O3 0.1514 0.3545 0.2207
O4 0.1522 0.9686 0.7731
O5 0.2857 0.5420 0.0033
O6 0.3138 0.9999 0.1573
O7 0.4044 0.7276 0.6568
O8 0.4340 0.1841 0.5021
O9 0.5662 0.7603 0.2729
O10 0.5674 0.3727 0.7205
O11 0.6513 0.8540 0.9913
O12 0.6534 0.4670 0.4394
O13 0.7840 0.0432 0.2092
O14 0.8140 0.5001 0.0544
O15 0.9042 0.2265 0.5544
O16 0.9343 0.6849 0.7085

Most intense lines, 10° ≤ 2θ ≤ 90°, sorted by position:
20.01 deg, d = 4.438 Å, rel. 64; 20.35 deg, d = 4.364 Å, rel. 28; 22.58 deg, d = 3.938 Å, rel. 46; 25.00 deg, d = 3.561 Å, rel. 100; 26.78 deg, d = 3.329 Å, rel. 23; 29.03 deg, d = 3.076 Å, rel. 15; 33.71 deg, d = 2.659 Å, rel. 19; 35.79 deg, d = 2.509 Å, rel. 39; 41.43 deg, d = 2.179 Å, rel. 17; 50.50 deg, d = 1.807 Å, rel. 16